No. 1
Simulated X-ray diffraction stick pattern of AlH6C2SeCl3 for Cu Kα (λ = 1.5418 Å), from a GGA-PBE-relaxed structure.
Neutral-atom scattering factors, no anomalous dispersion.

Unit cell a=6.6069 b=13.4271 c=11.0110 alpha=90.00 beta=90.00 gamma=90.00
Fractional positions:
Al: 0.0624 0.0578 0.2500
Al: 0.0624 0.4422 0.7500
Al: 0.9376 0.5578 0.2500
Al: 0.9376 0.9422 0.7500
H: 0.2545 0.6319 0.5315
H: 0.2545 0.6319 0.9685
H: 0.2545 0.8681 0.0315
H: 0.2545 0.8681 0.4685
H: 0.4101 0.7119 0.6249
H: 0.4101 0.7119 0.8751
H: 0.4101 0.7881 0.1249
H: 0.4101 0.7881 0.3751
H: 0.4559 0.5788 0.6213
H: 0.4559 0.5788 0.8787
H: 0.4559 0.9212 0.1213
H: 0.4559 0.9212 0.3787
H: 0.5441 0.0788 0.6213
H: 0.5441 0.0788 0.8787
H: 0.5441 0.4212 0.1213
H: 0.5441 0.4212 0.3787
H: 0.5899 0.2119 0.6249
H: 0.5899 0.2119 0.8751
H: 0.5899 0.2881 0.1249
H: 0.5899 0.2881 0.3751
H: 0.7455 0.1319 0.5315
H: 0.7455 0.1319 0.9685
H: 0.7455 0.3681 0.0315
H: 0.7455 0.3681 0.4685
C: 0.3418 0.6378 0.6157
C: 0.3418 0.6378 0.8843
C: 0.3418 0.8622 0.1157
C: 0.3418 0.8622 0.3843
C: 0.6582 0.1378 0.6157
C: 0.6582 0.1378 0.8843
C: 0.6582 0.3622 0.1157
C: 0.6582 0.3622 0.3843
Se: 0.1475 0.6268 0.7500
Se: 0.1475 0.8732 0.2500
Se: 0.8525 0.1268 0.7500
Se: 0.8525 0.3732 0.2500
Cl: 0.1839 0.1181 0.0860
Cl: 0.1839 0.1181 0.4140
Cl: 0.1839 0.3819 0.5860
Cl: 0.1839 0.3819 0.9140
Cl: 0.2619 0.5660 0.2500
Cl: 0.2619 0.9340 0.7500
Cl: 0.7381 0.0660 0.2500
Cl: 0.7381 0.4340 0.7500
Cl: 0.8161 0.6181 0.0860
Cl: 0.8161 0.6181 0.4140
Cl: 0.8161 0.8819 0.5860
Cl: 0.8161 0.8819 0.9140

Most intense lines, 2θ = 10–80°, low angle first:
13.4 deg, d 6.607, intensity 66
16.1 deg, d 5.506, intensity 72
17.0 deg, d 5.220, intensity 78
22.0 deg, d 4.034, intensity 71
25.4 deg, d 3.512, intensity 70
26.6 deg, d 3.357, intensity 64
27.7 deg, d 3.216, intensity 47
29.0 deg, d 3.077, intensity 100
30.9 deg, d 2.894, intensity 34
50.2 deg, d 1.817, intensity 61

No. 2
Simulated X-ray diffraction stick pattern of AlTeH6C2Cl3 for Cu Kα (λ = 1.5418 Å), from a GGA-PBE-relaxed structure.
Neutral-atom scattering factors, no anomalous dispersion.

Unit cell a=6.6471 b=14.0099 c=11.0510 alpha=90.00 beta=90.00 gamma=90.00
Fractional positions:
Al: 0.0466 0.0605 0.2500
Al: 0.0466 0.4395 0.7500
Al: 0.9534 0.5605 0.2500
Al: 0.9534 0.9395 0.7500
Te: 0.1378 0.6306 0.7500
Te: 0.1378 0.8694 0.2500
Te: 0.8622 0.1306 0.7500
Te: 0.8622 0.3694 0.2500
H: 0.2741 0.6347 0.5215
H: 0.2741 0.6347 0.9785
H: 0.2741 0.8653 0.0215
H: 0.2741 0.8653 0.4785
H: 0.4379 0.7032 0.6188
H: 0.4379 0.7032 0.8812
H: 0.4379 0.7968 0.1188
H: 0.4379 0.7968 0.3812
H: 0.4588 0.5748 0.6141
H: 0.4588 0.5748 0.8859
H: 0.4588 0.9252 0.1141
H: 0.4588 0.9252 0.3859
H: 0.5412 0.0748 0.6141
H: 0.5412 0.0748 0.8859
H: 0.5412 0.4252 0.1141
H: 0.5412 0.4252 0.3859
H: 0.5621 0.2032 0.6188
H: 0.5621 0.2032 0.8812
H: 0.5621 0.2968 0.1188
H: 0.5621 0.2968 0.3812
H: 0.7259 0.1347 0.5215
H: 0.7259 0.1347 0.9785
H: 0.7259 0.3653 0.0215
H: 0.7259 0.3653 0.4785
C: 0.3573 0.6357 0.6071
C: 0.3573 0.6357 0.8929
C: 0.3573 0.8643 0.1071
C: 0.3573 0.8643 0.3929
C: 0.6427 0.1357 0.6071
C: 0.6427 0.1357 0.8929
C: 0.6427 0.3643 0.1071
C: 0.6427 0.3643 0.3929
Cl: 0.1694 0.1187 0.0868
Cl: 0.1694 0.1187 0.4132
Cl: 0.1694 0.3813 0.5868
Cl: 0.1694 0.3813 0.9132
Cl: 0.2757 0.5725 0.2500
Cl: 0.2757 0.9275 0.7500
Cl: 0.7243 0.0725 0.2500
Cl: 0.7243 0.4275 0.7500
Cl: 0.8306 0.6187 0.0868
Cl: 0.8306 0.6187 0.4132
Cl: 0.8306 0.8813 0.5868
Cl: 0.8306 0.8813 0.9132

Most intense lines, 2θ = 10–80°, low angle first:
13.3 deg, d 6.647, intensity 95
16.0 deg, d 5.525, intensity 100
16.8 deg, d 5.277, intensity 92
21.9 deg, d 4.066, intensity 87
24.7 deg, d 3.611, intensity 83
25.4 deg, d 3.502, intensity 85
28.4 deg, d 3.143, intensity 57
28.8 deg, d 3.102, intensity 90
30.5 deg, d 2.927, intensity 55
49.8 deg, d 1.833, intensity 44